Theoretical X-ray powder pattern
Compound: GePd2
Radiation: CuKα
Structure: a crystal structure in the Materials Project, relaxed with PBE

Crystal structure
```
GePd2
1.0
6.761 0.000 0.000
-3.381 5.855 0.000
0.000 0.000 3.526
Ge Pd
3 6
Direct
0.000 0.000 0.000
0.333 0.667 0.500
0.667 0.333 0.500
0.000 0.268 0.500
0.000 0.607 0.000
0.268 0.000 0.500
0.393 0.393 0.000
0.607 0.000 0.000
0.732 0.732 0.500
```

Main lines, sorted by position (10° ≤ 2θ ≤ 90°):
- 2θ = 36.8°, I = 100
- 2θ = 40.0°, I = 56
- 2θ = 40.8°, I = 35
- 2θ = 46.5°, I = 40
- 2θ = 48.6°, I = 19
- 2θ = 51.9°, I = 20
- 2θ = 68.0°, I = 15
- 2θ = 72.2°, I = 21
- 2θ = 75.8°, I = 24
- 2θ = 88.0°, I = 8

Theoretical X-ray powder pattern
Compound: Cs2GaAuF6
Radiation: CuKα
Structure: a crystal structure in the Materials Project, relaxed with PBE

Crystal structure
```
Cs2GaAuF6
1.0
0.000 4.511 4.511
4.511 0.000 4.511
4.511 4.511 0.000
Cs Ga Au F
2 1 1 6
Direct
0.250 0.250 0.250
0.750 0.750 0.750
0.000 0.000 0.000
0.500 0.500 0.500
0.215 0.215 0.785
0.215 0.785 0.215
0.215 0.785 0.785
0.785 0.215 0.215
0.785 0.215 0.785
0.785 0.785 0.215
```

Main lines, sorted by position (10° ≤ 2θ ≤ 90°):
- 2θ = 17.0°, I = 8
- 2θ = 28.0°, I = 100
- 2θ = 32.9°, I = 9
- 2θ = 40.0°, I = 31
- 2θ = 43.7°, I = 6
- 2θ = 49.5°, I = 40
- 2θ = 57.8°, I = 19
- 2θ = 65.4°, I = 20
- 2θ = 72.6°, I = 6
- 2θ = 79.5°, I = 23

Theoretical X-ray powder pattern
Compound: Mn4Ga3Cu2
Radiation: CuKα
Structure: a crystal structure in the Materials Project, relaxed with PBE

Crystal structure
```
Mn4Ga3Cu2
1.0
4.200 0.000 0.000
-2.100 3.637 0.000
0.000 0.000 15.943
Mn Ga Cu
8 6 4
Direct
0.000 0.000 0.083
0.000 0.000 0.252
0.000 0.000 0.414
0.000 0.000 0.586
0.000 0.000 0.748
0.000 0.000 0.917
0.333 0.667 0.333
0.333 0.667 0.667
0.333 0.667 0.168
0.333 0.667 0.500
0.333 0.667 0.832
0.667 0.333 0.000
0.667 0.333 0.333
0.667 0.333 0.667
0.333 0.667 0.000
0.667 0.333 0.168
0.667 0.333 0.500
0.667 0.333 0.832
```

Main lines, sorted by position (10° ≤ 2θ ≤ 90°):
- 2θ = 33.7°, I = 12
- 2θ = 42.1°, I = 88
- 2θ = 43.1°, I = 100
- 2θ = 55.8°, I = 17
- 2θ = 61.8°, I = 26
- 2θ = 70.9°, I = 7
- 2θ = 78.3°, I = 25
- 2θ = 79.0°, I = 15
- 2θ = 86.7°, I = 23
- 2θ = 88.7°, I = 4

Theoretical X-ray powder pattern
Compound: LiZn4SnO8
Radiation: CuKα
Structure: a crystal structure in the Materials Project, relaxed with PBE

Crystal structure
```
LiZn4SnO8
1.0
6.068 0.000 0.000
-3.034 5.255 0.000
0.000 0.000 9.877
Li Zn Sn O
2 8 2 16
Direct
0.000 0.000 0.000
0.000 0.000 0.500
0.168 0.336 0.284
0.168 0.832 0.284
0.333 0.667 0.596
0.336 0.168 0.784
0.664 0.832 0.284
0.667 0.333 0.096
0.832 0.168 0.784
0.832 0.664 0.784
0.333 0.667 0.004
0.667 0.333 0.504
0.000 0.000 0.188
0.000 0.000 0.688
0.030 0.515 0.150
0.162 0.325 0.901
0.162 0.838 0.901
0.325 0.162 0.401
0.333 0.667 0.390
0.485 0.515 0.150
0.485 0.970 0.150
0.515 0.030 0.650
0.515 0.485 0.650
0.667 0.333 0.890
0.675 0.838 0.901
0.838 0.162 0.401
0.838 0.675 0.401
0.970 0.485 0.650
```

Main lines, sorted by position (10° ≤ 2θ ≤ 90°):
- 2θ = 19.1°, I = 27
- 2θ = 24.7°, I = 64
- 2θ = 32.1°, I = 80
- 2θ = 34.1°, I = 28
- 2θ = 34.7°, I = 100
- 2θ = 35.3°, I = 63
- 2θ = 53.9°, I = 42
- 2θ = 55.7°, I = 26
- 2θ = 58.4°, I = 61
- 2θ = 61.1°, I = 47

Theoretical X-ray powder pattern
Compound: SrLuCuSe3
Radiation: CuKα
Structure: a crystal structure in the Materials Project, relaxed with PBE

Crystal structure
```
SrLuCuSe3
1.0
2.030 -6.774 0.000
2.030 6.774 0.000
0.000 0.000 10.446
Sr Lu Cu Se
2 2 2 6
Direct
0.249 0.751 0.750
0.751 0.249 0.250
0.000 0.000 0.000
0.000 0.000 0.500
0.471 0.529 0.250
0.529 0.471 0.750
0.077 0.923 0.250
0.362 0.638 0.062
0.362 0.638 0.438
0.638 0.362 0.562
0.638 0.362 0.938
0.923 0.077 0.750
```

Main lines, sorted by position (10° ≤ 2θ ≤ 90°):
- 2θ = 13.1°, I = 48
- 2θ = 21.5°, I = 19
- 2θ = 28.8°, I = 18
- 2θ = 29.6°, I = 33
- 2θ = 30.8°, I = 50
- 2θ = 34.3°, I = 100
- 2θ = 34.6°, I = 15
- 2θ = 43.7°, I = 70
- 2θ = 44.6°, I = 26
- 2θ = 53.3°, I = 15

Theoretical X-ray powder pattern
Compound: CeCoSi3
Radiation: CuKα
Structure: a crystal structure in the Materials Project, relaxed with PBE

Crystal structure
```
CeCoSi3
1.0
-1.983 1.983 5.000
1.983 -1.983 5.000
1.983 1.983 -5.000
Ce Co Si
1 1 3
Direct
0.000 0.000 0.000
0.250 0.750 0.500
0.380 0.380 0.000
0.620 0.620 0.000
0.750 0.250 0.500
```

Main lines, sorted by position (10° ≤ 2θ ≤ 90°):
- 2θ = 24.1°, I = 56
- 2θ = 31.9°, I = 15
- 2θ = 35.2°, I = 66
- 2θ = 36.7°, I = 100
- 2θ = 45.7°, I = 40
- 2θ = 51.2°, I = 25
- 2θ = 59.0°, I = 29
- 2θ = 65.1°, I = 16
- 2θ = 71.0°, I = 18
- 2θ = 78.6°, I = 21

Theoretical X-ray powder pattern
Compound: CaAl4
Radiation: CuKα
Structure: a crystal structure in the Materials Project, relaxed with PBE

Crystal structure
```
CaAl4
1.0
-2.176 2.176 5.615
2.176 -2.176 5.615
2.176 2.176 -5.615
Ca Al
1 4
Direct
0.000 0.000 0.000
0.250 0.750 0.500
0.386 0.386 0.000
0.614 0.614 0.000
0.750 0.250 0.500
```

Main lines, sorted by position (10° ≤ 2θ ≤ 90°):
- 2θ = 31.5°, I = 54
- 2θ = 33.2°, I = 100
- 2θ = 41.5°, I = 54
- 2θ = 43.6°, I = 17
- 2θ = 45.4°, I = 30
- 2θ = 53.0°, I = 23
- 2θ = 60.1°, I = 17
- 2θ = 63.2°, I = 22
- 2θ = 70.5°, I = 20
- 2θ = 81.6°, I = 12

Theoretical X-ray powder pattern
Compound: Sm2Cl2O
Radiation: CuKα
Structure: a crystal structure in the Materials Project, relaxed with PBE

Crystal structure
```
Sm2Cl2O
1.0
4.261 0.000 0.000
0.000 4.261 0.000
0.000 0.000 13.028
Sm Cl O
2 2 1
Direct
0.000 0.000 0.164
0.000 0.000 0.836
0.000 0.000 0.357
0.000 0.000 0.643
0.000 0.000 0.000
```

Main lines, sorted by position (10° ≤ 2θ ≤ 90°):
- 2θ = 13.6°, I = 16
- 2θ = 20.8°, I = 100
- 2θ = 21.9°, I = 18
- 2θ = 25.0°, I = 16
- 2θ = 29.4°, I = 25
- 2θ = 29.6°, I = 41
- 2θ = 34.7°, I = 17
- 2θ = 36.3°, I = 15
- 2θ = 47.0°, I = 19
- 2θ = 47.7°, I = 21

Theoretical X-ray powder pattern
Compound: Mg14ZrNi
Radiation: CuKα
Structure: a crystal structure in the Materials Project, relaxed with PBE

Crystal structure
```
Mg14ZrNi
1.0
9.993 0.000 0.000
0.000 3.068 5.580
0.000 -3.068 5.580
Mg Zr Ni
14 1 1
Direct
0.000 0.000 0.000
0.000 0.004 0.495
0.000 0.495 0.004
0.000 0.498 0.498
0.245 0.663 0.663
0.258 0.163 0.667
0.258 0.667 0.163
0.277 0.150 0.150
0.500 0.001 0.526
0.500 0.526 0.001
0.723 0.150 0.150
0.742 0.163 0.667
0.742 0.667 0.163
0.755 0.663 0.663
0.500 0.513 0.513
0.500 0.988 0.988
```

Main lines, sorted by position (10° ≤ 2θ ≤ 90°):
- 2θ = 15.9°, I = 16
- 2θ = 18.2°, I = 20
- 2θ = 33.3°, I = 39
- 2θ = 35.9°, I = 40
- 2θ = 36.9°, I = 63
- 2θ = 38.0°, I = 100
- 2θ = 49.8°, I = 21
- 2θ = 58.0°, I = 19
- 2θ = 66.0°, I = 17
- 2θ = 70.1°, I = 18

Theoretical X-ray powder pattern
Compound: K3TbB2O6
Radiation: CuKα
Structure: a crystal structure in the Materials Project, relaxed with PBE

Crystal structure
```
K3TbB2O6
1.0
6.877 0.000 0.000
0.000 9.489 0.000
0.000 0.000 5.598
K Tb B O
6 2 4 12
Direct
0.000 0.000 0.000
0.233 0.332 0.000
0.267 0.832 0.500
0.500 0.500 0.500
0.733 0.168 0.500
0.767 0.668 0.000
0.000 0.500 0.500
0.500 0.000 0.000
0.237 0.666 0.000
0.263 0.166 0.500
0.737 0.834 0.500
0.763 0.334 0.000
0.193 0.304 0.500
0.201 0.597 0.216
0.201 0.597 0.784
0.299 0.097 0.284
0.299 0.097 0.716
0.307 0.804 0.000
0.693 0.196 0.000
0.701 0.903 0.284
0.701 0.903 0.716
0.799 0.403 0.216
0.799 0.403 0.784
0.807 0.696 0.500
```

Main lines, sorted by position (10° ≤ 2θ ≤ 90°):
- 2θ = 15.9°, I = 69
- 2θ = 18.4°, I = 53
- 2θ = 18.7°, I = 24
- 2θ = 20.5°, I = 24
- 2θ = 27.9°, I = 22
- 2θ = 32.0°, I = 100
- 2θ = 32.1°, I = 38
- 2θ = 32.5°, I = 44
- 2θ = 46.0°, I = 35
- 2θ = 46.5°, I = 16

Theoretical X-ray powder pattern
Compound: Er2PbS4
Radiation: CuKα
Structure: a crystal structure in the Materials Project, relaxed with PBE

Crystal structure
```
Er2PbS4
1.0
3.963 -14.335 0.000
3.963 14.335 0.000
0.000 0.000 12.133
Er Pb S
16 8 32
Direct
0.069 0.431 0.127
0.069 0.931 0.500
0.173 0.326 0.644
0.175 0.825 0.981
0.326 0.173 0.144
0.326 0.674 0.478
0.430 0.570 0.992
0.431 0.069 0.627
0.569 0.931 0.127
0.570 0.430 0.492
0.674 0.326 0.978
0.674 0.827 0.644
0.825 0.175 0.481
0.827 0.674 0.144
0.931 0.069 0.000
0.931 0.569 0.627
0.042 0.459 0.816
0.046 0.954 0.847
0.459 0.042 0.316
0.462 0.538 0.294
0.538 0.462 0.794
0.541 0.958 0.816
0.954 0.046 0.347
0.958 0.541 0.316
0.018 0.485 0.532
0.019 0.981 0.076
0.138 0.361 0.435
0.139 0.861 0.189
0.163 0.837 0.475
0.165 0.340 0.145
0.208 0.288 0.854
0.209 0.791 0.768
0.288 0.208 0.354
0.291 0.709 0.267
0.336 0.664 0.973
0.340 0.165 0.645
0.361 0.138 0.935
0.361 0.639 0.687
0.485 0.018 0.032
0.485 0.515 0.596
0.515 0.485 0.096
0.515 0.982 0.532
0.639 0.361 0.187
0.639 0.862 0.435
0.660 0.835 0.145
0.664 0.336 0.473
0.709 0.291 0.767
0.712 0.792 0.854
0.791 0.209 0.268
0.792 0.712 0.354
0.835 0.660 0.645
0.837 0.163 0.975
0.861 0.139 0.689
0.862 0.639 0.935
0.981 0.019 0.576
0.982 0.515 0.032
```

Main lines, sorted by position (10° ≤ 2θ ≤ 90°):
- 2θ = 24.8°, I = 39
- 2θ = 25.3°, I = 100
- 2θ = 26.7°, I = 58
- 2θ = 26.9°, I = 26
- 2θ = 30.2°, I = 43
- 2θ = 36.9°, I = 52
- 2θ = 37.3°, I = 24
- 2θ = 40.6°, I = 22
- 2θ = 45.8°, I = 25
- 2θ = 53.0°, I = 28

What did the ninth record say?
Theoretical X-ray powder pattern
Compound: Mg14ZrNi
Radiation: CuKα
Structure: a crystal structure in the Materials Project, relaxed with PBE

Crystal structure
```
Mg14ZrNi
1.0
9.993 0.000 0.000
0.000 3.068 5.580
0.000 -3.068 5.580
Mg Zr Ni
14 1 1
Direct
0.000 0.000 0.000
0.000 0.004 0.495
0.000 0.495 0.004
0.000 0.498 0.498
0.245 0.663 0.663
0.258 0.163 0.667
0.258 0.667 0.163
0.277 0.150 0.150
0.500 0.001 0.526
0.500 0.526 0.001
0.723 0.150 0.150
0.742 0.163 0.667
0.742 0.667 0.163
0.755 0.663 0.663
0.500 0.513 0.513
0.500 0.988 0.988
```

Main lines, sorted by position (10° ≤ 2θ ≤ 90°):
- 2θ = 15.9°, I = 16
- 2θ = 18.2°, I = 20
- 2θ = 33.3°, I = 39
- 2θ = 35.9°, I = 40
- 2θ = 36.9°, I = 63
- 2θ = 38.0°, I = 100
- 2θ = 49.8°, I = 21
- 2θ = 58.0°, I = 19
- 2θ = 66.0°, I = 17
- 2θ = 70.1°, I = 18

Repeat the fifth record exactly.
Theoretical X-ray powder pattern
Compound: SrLuCuSe3
Radiation: CuKα
Structure: a crystal structure in the Materials Project, relaxed with PBE

Crystal structure
```
SrLuCuSe3
1.0
2.030 -6.774 0.000
2.030 6.774 0.000
0.000 0.000 10.446
Sr Lu Cu Se
2 2 2 6
Direct
0.249 0.751 0.750
0.751 0.249 0.250
0.000 0.000 0.000
0.000 0.000 0.500
0.471 0.529 0.250
0.529 0.471 0.750
0.077 0.923 0.250
0.362 0.638 0.062
0.362 0.638 0.438
0.638 0.362 0.562
0.638 0.362 0.938
0.923 0.077 0.750
```

Main lines, sorted by position (10° ≤ 2θ ≤ 90°):
- 2θ = 13.1°, I = 48
- 2θ = 21.5°, I = 19
- 2θ = 28.8°, I = 18
- 2θ = 29.6°, I = 33
- 2θ = 30.8°, I = 50
- 2θ = 34.3°, I = 100
- 2θ = 34.6°, I = 15
- 2θ = 43.7°, I = 70
- 2θ = 44.6°, I = 26
- 2θ = 53.3°, I = 15